Calculated PXRD pattern
Compound: K3TmF6
Radiation: Cu Kα (weighted mean of Kα1 and Kα2)
Structure: a PBE-relaxed structure
Lines closer than 0.1° are merged.

Atomic structure:
a b c (Å): 9.310 9.310 9.310
angles (deg): 90.00 90.00 90.00
Space group Fm-3m (No. 225)
Symmetry-distinct sites (fractional):
K 0.000 0.000 0.000 x4
K 0.250 0.250 0.250 x8
Tm 0.000 0.000 0.500 x4
F 0.000 0.000 0.271 x24

Principal peaks in the range 2θ = 10–90°, by intensity:
hkl 2 2 0, 27.1°, rel. 100
hkl 1 1 1, 16.5°, rel. 66
hkl 2 0 0, 19.1°, rel. 51
hkl 4 0 0, 38.7°, rel. 48
hkl 4 2 2, 47.9°, rel. 39
hkl 3 1 1, 31.9°, rel. 30